Starting from a cell relaxed with PBE, the powder X-ray diffraction pattern of Pd3S was computed for copper Kα.
Intensities are scaled so that the largest is 1000.

Most intense lines, 2θ = 10–80°, by intensity:
41.38°, intensity 1000, (4 1 1); 37.17°, intensity 907, (2 3 1); 39.81°, intensity 738, (1 1 2); 37.73°, intensity 406, (3 3 0); 45.70°, intensity 341, (5 1 0); 70.57°, intensity 294, (2 7 1)

Cell and atoms:
abc: 10.1137 10.1137 4.7770
angles: 90.00 90.00 90.00
Space group I-4 (No. 82)
Asymmetric unit:
Pd  0.0229  0.3587  0.0066 x8
Pd  0.0925  0.8993  0.7729 x8
Pd  0.1851  0.7950  0.2748 x8
S  0.0096  0.2746  0.5119 x8